(1)
Diffraction record for H10IrC2Cl3O3. The powder diffraction line list is computed, not measured: it uses the GGA-PBE geometry in OQMD and λ = 1.5418 Å (Cu Kα).

Atomic structure:
```
data_H10IrC2Cl3O3
_cell_length_a 7.0778
_cell_length_b 7.4042
_cell_length_c 8.5356
_cell_angle_alpha 106.25
_cell_angle_beta 104.42
_cell_angle_gamma 90.01
_symmetry_space_group_name_H-M 'P -1'
_symmetry_Int_Tables_number 2
_symmetry_space_group_name_Hall '-P 1'
loop_
_atom_site_label
_atom_site_type_symbol
_atom_site_fract_x
_atom_site_fract_y
_atom_site_fract_z
H1 H 0.0118 0.1246 0.2656
H2 H 0.0691 0.1732 0.7179
H3 H 0.0833 0.8219 0.1404
H4 H 0.1750 0.2382 0.9421
H5 H 0.1854 0.3275 0.5156
H6 H 0.2078 0.5000 0.2165
H7 H 0.2505 0.1146 0.4825
H8 H 0.3371 0.2555 0.3095
H9 H 0.3876 0.4889 0.0983
H10 H 0.4610 0.5703 0.3245
Ir1 Ir 0.3558 0.8425 0.8090
C1 C 0.0616 0.1500 0.8376
C2 C 0.3599 0.4733 0.2144
Cl1 Cl 0.1715 0.5531 0.7384
Cl2 Cl 0.2766 0.8439 0.5279
Cl3 Cl 0.4529 0.8658 0.1023
O1 O 0.0921 0.9551 0.8340
O2 O 0.2084 0.2156 0.4275
O3 O 0.3849 0.2788 0.2137
```

Main lines, in order of rising 2θ (2θ = 15–90°):
2θ (°)  I_rel  (hkl)
17.33  100  1 -1 0
17.85  46  1 1 -1
19.07  30  0 1 1
22.47  34  0 0 2
23.28  30  1 1 -2
28.14  30  2 -1 0
29.13  48  -2 1 1
29.24  36  1 2 0
32.62  27  0 1 -3
33.98  29  0 0 3
35.09  33  2 -2 0
38.11  43  0 3 0

=====

(2)
Diffraction record for KPH12PtC2N2Cl2O4. The powder diffraction line list is computed, not measured: it uses the GGA-PBE geometry in OQMD and λ = 1.5418 Å (Cu Kα).

Atomic structure:
```
data_KPH12PtC2N2Cl2O4
_cell_length_a 7.8751
_cell_length_b 8.6162
_cell_length_c 8.8000
_cell_angle_alpha 83.90
_cell_angle_beta 68.20
_cell_angle_gamma 85.70
_symmetry_space_group_name_H-M 'P -1'
_symmetry_Int_Tables_number 2
_symmetry_space_group_name_Hall '-P 1'
loop_
_atom_site_label
_atom_site_type_symbol
_atom_site_fract_x
_atom_site_fract_y
_atom_site_fract_z
K1 K 0.0737 0.2850 0.4301
P1 P 0.3165 0.7182 0.7360
H1 H 0.0824 0.6891 0.0080
H2 H 0.1047 0.9435 0.7747
H3 H 0.2411 0.4152 0.6715
H4 H 0.2544 0.5358 0.9726
H5 H 0.2799 0.6050 0.4375
H6 H 0.2923 0.6968 0.1594
H7 H 0.2941 0.9624 0.5848
H8 H 0.3110 0.1391 0.7656
H9 H 0.3554 0.3038 0.5359
H10 H 0.3631 0.4755 0.3163
H11 H 0.4653 0.7289 0.9830
H12 H 0.4842 0.0074 0.7399
Pt1 Pt 0.2777 0.9857 0.0434
C1 C 0.2306 0.6635 0.9561
C2 C 0.2541 0.9254 0.7170
N1 N 0.3249 0.7466 0.0389
N2 N 0.3435 0.0218 0.7930
Cl1 Cl 0.2059 0.9515 0.3267
Cl2 Cl 0.2278 0.2557 0.0514
O1 O 0.2204 0.6275 0.6542
O2 O 0.2555 0.3046 0.6459
O3 O 0.2697 0.5636 0.3405
O4 O 0.4746 0.2980 0.3259
```

Main lines, in order of rising 2θ (2θ = 15–90°):
2θ (°)  I_rel  (hkl)
15.65  100  0 1 -1
22.63  27  0 2 1
22.74  38  2 0 1
23.37  17  0 1 2
24.25  29  2 1 1
24.37  57  2 0 0
25.78  18  2 -1 1
26.15  30  2 1 0
30.65  20  1 0 3
31.34  38  0 3 0
33.01  18  0 0 3
35.29  20  3 1 1